Entry 1:
Computed powder X-ray diffraction pattern
Compound: PdC2ClO2
Radiation: CuKα
Structure: a GGA-PBE-relaxed structure
Kinematic intensities with the Lorentz-polarization factor, no thermal factor.

Structure:
Cell lengths 11.648, 11.648, 11.648 Å; angles 100.15, 100.15, 130.37 degrees
Atoms (fractional coordinates):
Pd1 0.058 0.477 0.126
Pd2 0.068 0.942 0.419
Pd3 0.227 0.308 0.626
Pd4 0.351 0.932 0.874
Pd5 0.399 0.773 0.081
Pd6 0.523 0.649 0.581
Pd7 0.682 0.601 0.374
Pd8 0.692 0.318 0.919
C1 0.010 0.506 0.276
C2 0.011 0.231 0.594
C3 0.113 0.019 0.280
C4 0.167 0.887 0.906
C5 0.230 0.734 0.724
C6 0.256 0.260 0.776
C7 0.266 0.990 0.496
C8 0.484 0.480 0.224
C9 0.494 0.770 0.504
C10 0.520 0.744 0.004
C11 0.583 0.989 0.220
C12 0.637 0.417 0.406
C13 0.739 0.833 0.720
C14 0.740 0.516 0.996
C15 0.769 0.363 0.780
C16 0.981 0.261 0.094
Cl1 0.135 0.481 0.932
Cl2 0.201 0.769 0.154
Cl3 0.231 0.385 0.432
Cl4 0.519 0.451 0.654
Cl5 0.549 0.203 0.068
Cl6 0.615 0.047 0.846
Cl7 0.797 0.865 0.346
Cl8 0.953 0.799 0.568
O1 0.040 0.829 0.902
O2 0.142 0.613 0.638
O3 0.171 0.073 0.211
O4 0.254 0.225 0.862
O5 0.363 0.392 0.138
O6 0.387 0.025 0.529
O7 0.496 0.858 0.471
O8 0.579 0.290 0.402
O9 0.608 0.746 0.971
O10 0.710 0.112 0.289
O11 0.775 0.637 0.029
O12 0.823 0.421 0.711
O13 0.862 0.960 0.789
O14 0.888 0.177 0.598
O15 0.927 0.138 0.098
O16 0.975 0.504 0.362

Main lines, in order of rising 2θ (10 to 90 degrees two-theta):
| d_spacing | I_rel |
| --- | --- |
| 8.183 | 20 |
| 7.475 | 100 |
| 4.728 | 38 |
| 4.439 | 37 |
| 3.818 | 38 |
| 2.969 | 29 |
| 2.930 | 45 |
| 2.760 | 25 |
| 2.563 | 29 |
| 1.822 | 18 |

Entry 2:
Computed powder X-ray diffraction pattern
Compound: PtC2Cl2O2
Radiation: CuKα
Structure: a GGA-PBE-relaxed structure
Kinematic intensities with the Lorentz-polarization factor, no thermal factor.

Structure:
Cell lengths 7.268, 12.988, 6.744 Å; angles 90.00, 104.99, 90.00 degrees
Atoms (fractional coordinates):
Pt1 0.109 0.230 0.220
Pt2 0.109 0.270 0.720
Pt3 0.891 0.730 0.280
Pt4 0.891 0.770 0.780
C1 0.106 0.640 0.338
C2 0.106 0.860 0.838
C3 0.295 0.123 0.271
C4 0.295 0.377 0.771
C5 0.705 0.623 0.229
C6 0.705 0.877 0.729
C7 0.894 0.140 0.162
C8 0.894 0.360 0.662
Cl1 0.105 0.633 0.839
Cl2 0.105 0.867 0.339
Cl3 0.364 0.156 0.785
Cl4 0.364 0.344 0.285
Cl5 0.636 0.656 0.715
Cl6 0.636 0.844 0.215
Cl7 0.895 0.133 0.661
Cl8 0.895 0.367 0.161
O1 0.237 0.588 0.374
O2 0.237 0.912 0.874
O3 0.409 0.060 0.302
O4 0.409 0.440 0.802
O5 0.591 0.560 0.198
O6 0.591 0.940 0.698
O7 0.763 0.088 0.126
O8 0.763 0.412 0.626

Main lines, in order of rising 2θ (10 to 90 degrees two-theta):
| d_spacing | I_rel |
| --- | --- |
| 7.021 | 74 |
| 6.494 | 100 |
| 6.176 | 81 |
| 4.767 | 65 |
| 3.685 | 25 |
| 3.257 | 42 |
| 3.197 | 57 |
| 2.911 | 29 |
| 2.727 | 38 |
| 2.714 | 24 |

Entry 3:
Computed powder X-ray diffraction pattern
Compound: Re2C3Cl3O6
Radiation: CuKα
Structure: a GGA-PBE-relaxed structure
Kinematic intensities with the Lorentz-polarization factor, no thermal factor.

Structure:
Cell lengths 13.284, 11.232, 7.517 Å; angles 90.00, 90.00, 90.00 degrees
Atoms (fractional coordinates):
Re1 0.187 0.210 0.000
Re2 0.246 0.857 0.669
Re3 0.254 0.357 0.169
Re4 0.313 0.710 0.500
Re5 0.687 0.290 0.000
Re6 0.746 0.643 0.669
Re7 0.754 0.143 0.169
Re8 0.813 0.790 0.500
C1 0.117 0.210 0.362
C2 0.132 0.637 0.685
C3 0.170 0.853 0.311
C4 0.330 0.353 0.811
C5 0.368 0.137 0.185
C6 0.383 0.710 0.862
C7 0.617 0.290 0.362
C8 0.632 0.863 0.685
C9 0.670 0.647 0.311
C10 0.830 0.147 0.811
C11 0.868 0.363 0.185
C12 0.883 0.790 0.862
Cl1 0.051 0.300 0.877
Cl2 0.127 0.004 0.852
Cl3 0.143 0.507 0.127
Cl4 0.357 0.007 0.627
Cl5 0.373 0.504 0.352
Cl6 0.449 0.800 0.377
Cl7 0.551 0.200 0.877
Cl8 0.627 0.496 0.852
Cl9 0.643 0.993 0.127
Cl10 0.857 0.493 0.627
Cl11 0.873 0.996 0.352
Cl12 0.949 0.700 0.377
O1 0.107 0.150 0.223
O2 0.128 0.740 0.750
O3 0.157 0.910 0.452
O4 0.176 0.295 0.391
O5 0.196 0.594 0.580
O6 0.223 0.762 0.285
O7 0.277 0.262 0.785
O8 0.304 0.094 0.080
O9 0.324 0.795 0.891
O10 0.343 0.410 0.952
O11 0.372 0.240 0.250
O12 0.393 0.650 0.723
O13 0.607 0.350 0.223
O14 0.628 0.760 0.750
O15 0.657 0.590 0.452
O16 0.676 0.205 0.391
O17 0.696 0.906 0.580
O18 0.723 0.738 0.285
O19 0.777 0.238 0.785
O20 0.804 0.406 0.080
O21 0.824 0.705 0.891
O22 0.843 0.090 0.952
O23 0.872 0.260 0.250
O24 0.893 0.850 0.723

Main lines, in order of rising 2θ (10 to 90 degrees two-theta):
| d_spacing | I_rel |
| --- | --- |
| 6.642 | 68 |
| 6.247 | 100 |
| 5.717 | 13 |
| 5.653 | 20 |
| 5.616 | 19 |
| 4.977 | 12 |
| 4.550 | 49 |
| 3.040 | 16 |
| 2.672 | 16 |
| 2.552 | 12 |

Entry 4:
Computed powder X-ray diffraction pattern
Compound: RhC2ClO2
Radiation: CuKα
Structure: a GGA-PBE-relaxed structure
Kinematic intensities with the Lorentz-polarization factor, no thermal factor.

Structure:
Cell lengths 11.213, 11.213, 11.213 Å; angles 100.20, 100.20, 130.23 degrees
Atoms (fractional coordinates):
Rh1 0.018 0.438 0.876
Rh2 0.188 0.268 0.376
Rh3 0.189 0.812 0.080
Rh4 0.561 0.142 0.124
Rh5 0.562 0.439 0.580
Rh6 0.732 0.108 0.920
Rh7 0.858 0.982 0.420
Rh8 0.892 0.811 0.624
C1 0.003 0.490 0.730
C2 0.023 0.010 0.770
C3 0.085 0.876 0.606
C4 0.124 0.730 0.209
C5 0.229 0.520 0.894
C6 0.240 0.253 0.230
C7 0.270 0.479 0.394
C8 0.480 0.374 0.709
C9 0.510 0.240 0.513
C10 0.521 0.915 0.791
C11 0.626 0.335 0.106
C12 0.665 0.771 0.291
C13 0.727 0.997 0.487
C14 0.747 0.977 0.987
C15 0.760 0.273 0.270
C16 0.990 0.760 0.013
Cl1 0.019 0.362 0.064
Cl2 0.045 0.981 0.342
Cl3 0.112 0.269 0.564
Cl4 0.297 0.955 0.936
Cl5 0.453 0.888 0.158
Cl6 0.638 0.703 0.658
Cl7 0.705 0.547 0.436
Cl8 0.731 0.295 0.842
O1 0.084 0.683 0.291
O2 0.101 0.134 0.860
O3 0.207 0.916 0.599
O4 0.274 0.241 0.140
O5 0.317 0.608 0.401
O6 0.358 0.567 0.901
O7 0.392 0.793 0.709
O8 0.433 0.334 0.791
O9 0.476 0.116 0.467
O10 0.543 0.642 0.209
O11 0.649 0.009 0.533
O12 0.666 0.457 0.099
O13 0.759 0.899 0.033
O14 0.866 0.726 0.967
O15 0.884 0.351 0.360
O16 0.991 0.524 0.640

Main lines, in order of rising 2θ (10 to 90 degrees two-theta):
| d_spacing | I_rel |
| --- | --- |
| 7.891 | 21 |
| 7.193 | 100 |
| 5.316 | 20 |
| 4.549 | 37 |
| 4.276 | 34 |
| 3.675 | 38 |
| 2.860 | 23 |
| 2.824 | 42 |
| 2.658 | 21 |
| 2.470 | 28 |

Entry 5:
Computed powder X-ray diffraction pattern
Compound: RhC2ClO2
Radiation: CuKα
Structure: a GGA-PBE-relaxed structure
Kinematic intensities with the Lorentz-polarization factor, no thermal factor.

Structure:
Cell lengths 12.159, 12.159, 12.159 Å; angles 97.99, 97.99, 136.23 degrees
Atoms (fractional coordinates):
Rh1 0.011 0.450 0.901
Rh2 0.200 0.261 0.401
Rh3 0.201 0.800 0.061
Rh4 0.549 0.110 0.099
Rh5 0.550 0.451 0.561
Rh6 0.739 0.140 0.939
Rh7 0.860 0.799 0.599
Rh8 0.890 0.989 0.439
C1 0.007 0.791 0.615
C2 0.007 0.976 0.744
C3 0.013 0.482 0.756
C4 0.024 0.768 0.031
C5 0.142 0.426 0.885
C6 0.176 0.392 0.385
C7 0.209 0.824 0.216
C8 0.232 0.263 0.256
C9 0.518 0.274 0.531
C10 0.541 0.257 0.115
C11 0.574 0.459 0.716
C12 0.608 0.993 0.784
C13 0.726 0.257 0.244
C14 0.737 0.993 0.969
C15 0.743 0.858 0.284
C16 0.743 0.987 0.469
Cl1 0.008 0.400 0.089
Cl2 0.081 0.992 0.392
Cl3 0.150 0.258 0.589
Cl4 0.312 0.919 0.911
Cl5 0.438 0.850 0.108
Cl6 0.600 0.688 0.608
Cl7 0.669 0.562 0.411
Cl8 0.742 0.331 0.892
O1 0.016 0.497 0.664
O2 0.075 0.759 0.634
O3 0.102 0.083 0.836
O4 0.124 0.441 0.366
O5 0.191 0.374 0.866
O6 0.241 0.876 0.317
O7 0.247 0.266 0.164
O8 0.503 0.167 0.519
O9 0.509 0.325 0.134
O10 0.559 0.925 0.683
O11 0.626 0.491 0.817
O12 0.648 0.984 0.481
O13 0.675 0.809 0.183
O14 0.734 0.898 0.981
O15 0.833 0.352 0.336
O16 0.917 0.753 0.019

Main lines, in order of rising 2θ (10 to 90 degrees two-theta):
| d_spacing | I_rel |
| --- | --- |
| 7.978 | 100 |
| 7.882 | 12 |
| 5.627 | 32 |
| 5.046 | 9 |
| 3.977 | 28 |
| 2.818 | 14 |
| 2.782 | 12 |
| 2.495 | 10 |
| 2.213 | 10 |
| 2.194 | 11 |